# 1
Diffraction record for NdTm2In3Ni3. The powder XRD pattern is simulated, not measured: it uses a cell relaxed with GGA-PBE and Cu Kα X-rays.
Kinematic intensities with the Lorentz-polarization factor, no thermal factor.

Cell and atoms:
a = 3.769 Å, b = 7.457 Å, c = 7.457 Å
α = 119.74°, β = 90.00°, γ = 90.00°
Positions (direct):
Nd (0.000, 0.000, 0.000)
Tm (0.000, 0.180, 0.589)
Tm (0.000, 0.589, 0.180)
In (0.500, 0.339, 0.339)
In (0.500, 0.583, 0.844)
In (0.500, 0.844, 0.583)
Ni (0.000, 0.586, 0.586)
Ni (0.500, 0.259, 0.921)
Ni (0.500, 0.921, 0.259)

Largest 6 diffraction maxima, in order of rising 2θ, 10 to 80 degrees two-theta:
- 2.652 Å, intensity 100
- 2.453 Å, intensity 88
- 2.441 Å, intensity 35
- 2.158 Å, intensity 16
- 1.884 Å, intensity 19
- 1.379 Å, intensity 17

# 2
Diffraction record for LaTbNb. The powder XRD pattern is simulated, not measured: it uses a cell relaxed with GGA-PBE and Cu Kα X-rays.
Kinematic intensities with the Lorentz-polarization factor, no thermal factor.

Cell and atoms:
a = 5.091 Å, b = 5.091 Å, c = 5.091 Å
α = 60.00°, β = 60.00°, γ = 60.00°
Positions (direct):
La (0.000, 0.000, 0.000)
Tb (0.500, 0.500, 0.500)
Nb (0.250, 0.250, 0.250)

Largest 6 diffraction maxima, in order of rising 2θ, 10 to 80 degrees two-theta:
- 4.157 Å, intensity 15
- 3.600 Å, intensity 32
- 2.546 Å, intensity 100
- 1.800 Å, intensity 18
- 1.610 Å, intensity 13
- 1.470 Å, intensity 36

# 3
Diffraction record for RbNa3Zn2Sn2. The powder XRD pattern is simulated, not measured: it uses a cell relaxed with GGA-PBE and Cu Kα X-rays.
Kinematic intensities with the Lorentz-polarization factor, no thermal factor.

Cell and atoms:
a = 6.273 Å, b = 5.860 Å, c = 6.827 Å
α = 90.00°, β = 104.22°, γ = 90.00°
Positions (direct):
Rb (0.000, 0.000, 0.000)
Na (0.288, 0.500, 0.321)
Na (0.636, 0.000, 0.350)
Na (0.926, 0.500, 0.633)
Zn (0.447, 0.253, 0.827)
Zn (0.447, 0.747, 0.827)
Sn (0.202, 0.000, 0.538)
Sn (0.707, 0.500, 0.109)

Largest 6 diffraction maxima, in order of rising 2θ, 10 to 80 degrees two-theta:
- 5.153 Å, intensity 100
- 4.220 Å, intensity 87
- 2.850 Å, intensity 76
- 2.715 Å, intensity 62
- 2.643 Å, intensity 56
- 2.366 Å, intensity 62

# 4
Diffraction record for HoErLu6. The powder XRD pattern is simulated, not measured: it uses a cell relaxed with GGA-PBE and Cu Kα X-rays.
Kinematic intensities with the Lorentz-polarization factor, no thermal factor.

Cell and atoms:
a = 7.045 Å, b = 7.045 Å, c = 5.477 Å
α = 90.00°, β = 90.00°, γ = 120.00°
Positions (direct):
Ho (0.000, 0.000, 0.000)
Er (0.333, 0.667, 0.500)
Lu (0.335, 0.167, 0.500)
Lu (0.501, 0.001, 0.000)
Lu (0.501, 0.499, 0.000)
Lu (0.833, 0.167, 0.500)
Lu (0.833, 0.665, 0.500)
Lu (0.999, 0.499, 0.000)

Largest 6 diffraction maxima, in order of rising 2θ, 10 to 80 degrees two-theta:
- 3.051 Å, intensity 24
- 2.739 Å, intensity 24
- 2.665 Å, intensity 100
- 1.761 Å, intensity 20
- 1.567 Å, intensity 20
- 1.481 Å, intensity 22

Which formula does entry 3 have? RbNa3Zn2Sn2

Which formula does entry 1 have? NdTm2In3Ni3